# 1
Computed XRD peak list of Dy6Zn23 for Cu Kα (λ = 1.5418 Å), from a crystal structure in OQMD, relaxed with GGA-PBE.
No peak broadening, texture or thermal motion is included.

Structural model:
Cell: 12.6456 12.6456 12.6456 Å, 90.00 90.00 90.00°
Space group Fm-3m (No. 225)
Unique sites:
Dy1 0.0000 0.0000 0.2059 [24 per cell]
Zn1 0.0000 0.0000 0.5000 [4 per cell]
Zn2 0.0000 0.2500 0.2500 [24 per cell]
Zn3 0.1227 0.1227 0.3773 [32 per cell]
Zn4 0.1712 0.1712 0.1712 [32 per cell]

The 10 most intense peaks (5° ≤ 2θ ≤ 70°), low angle first:
hkl 2 2 2, 24.4 deg, rel. 132; hkl 3 3 1, 30.8 deg, rel. 186; hkl 4 2 2, 34.8 deg, rel. 284; hkl 3 3 3, 36.9 deg, rel. 800; hkl 4 4 0, 40.3 deg, rel. 1000; hkl 6 0 0, 42.9 deg, rel. 171; hkl 5 5 1, 51.6 deg, rel. 120; hkl 7 3 1, 55.8 deg, rel. 119; hkl 7 3 3, 59.9 deg, rel. 138; hkl 8 2 2, 62.3 deg, rel. 216

---

# 2
Computed XRD peak list of LiMg2Cd for Cu Kα (λ = 1.5418 Å), from a crystal structure in OQMD, relaxed with GGA-PBE.
No peak broadening, texture or thermal motion is included.

Structural model:
Cell: 3.4550 3.4550 6.7273 Å, 90.00 90.00 90.00°
Space group P4/mmm (No. 123)
Unique sites:
Li1 0.0000 0.0000 0.0000 [1 per cell]
Mg1 0.5000 0.5000 0.2402 [2 per cell]
Cd1 0.0000 0.0000 0.5000 [1 per cell]

The 10 most intense peaks (5° ≤ 2θ ≤ 70°), low angle first:
hkl 0 0 1, 13.2 deg, rel. 1000; hkl 1 0 0, 25.8 deg, rel. 174; hkl 1 0 1, 29.1 deg, rel. 711; hkl 1 1 0, 36.8 deg, rel. 434; hkl 1 0 2, 37.3 deg, rel. 830; hkl 1 1 1, 39.2 deg, rel. 279; hkl 2 0 0, 53.0 deg, rel. 146; hkl 2 1 1, 61.6 deg, rel. 157; hkl 2 1 2, 66.6 deg, rel. 282; hkl 1 1 4, 67.6 deg, rel. 133